Starting from a DFT-relaxed cell (PBE+U, Alexandria), the powder diffraction line list of Li5Co3O8 was simulated for Cu Ka.

Cell and atoms:
```
data_Li5Co3O8
_symmetry_space_group_name_H-M 'P -1'
_symmetry_Int_Tables_number 2
_symmetry_space_group_name_Hall '-P 1'
_cell_length_a 2.9168
_cell_length_b 5.8635
_cell_length_c 8.0439
_cell_angle_alpha 90.96
_cell_angle_beta 90.22
_cell_angle_gamma 91.89
loop_
_atom_site_label
_atom_site_type_symbol
_atom_site_fract_x
_atom_site_fract_y
_atom_site_fract_z
Li1 Li 0.0000 0.0000 0.0000
Li2 Li 0.0000 0.0000 0.5000
Li3 Li 0.0000 0.5000 0.0000
Li4 Li 0.4977 0.2440 0.7566
Co1 Co 0.0000 0.5000 0.5000
Co2 Co 0.4990 0.2462 0.2395
O1 O 0.0342 0.0187 0.2549
O2 O 0.0355 0.5093 0.7385
O3 O 0.4849 0.2804 0.4827
O4 O 0.4994 0.7467 0.9771
```

Main lines, by angle (15 to 90 degrees two-theta):
2θ/deg	Rel. int.
15.12	160
18.58	1000
18.89	106
35.76	195
36.75	115
37.11	102
43.04	323
44.57	290
45.09	260
63.82	156